The following is a theoretical PXRD pattern of LaSm14In. It was derived from a structure optimized by DFT (GGA-PBE), using Cu Kα, 1.54184 Å.
Kinematic intensities with the Lorentz-polarization factor, no thermal factor.

Peak list (10 most intense, 10 to 80 degrees two-theta, by angle)
| d (Å) | I_rel |
| --- | --- |
| 2.940 | 100 |
| 2.552 | 17 |
| 2.543 | 34 |
| 1.801 | 24 |
| 1.798 | 12 |
| 1.538 | 14 |
| 1.534 | 28 |
| 1.470 | 12 |
| 1.276 | 2 |
| 1.271 | 4 |

Cell lengths 10.208, 7.191, 7.191 Å; angles 90.00, 90.00, 90.00 degrees
Positions (direct):
La1 0.000 0.000 0.000
Sm1 0.000 0.500 0.999
Sm2 0.000 0.999 0.500
Sm3 0.247 0.252 0.252
Sm4 0.247 0.252 0.747
Sm5 0.247 0.747 0.252
Sm6 0.247 0.747 0.747
Sm7 0.500 0.000 0.000
Sm8 0.500 0.000 0.500
Sm9 0.500 0.500 0.000
Sm10 0.500 0.500 0.500
Sm11 0.753 0.252 0.252
Sm12 0.753 0.252 0.747
Sm13 0.753 0.747 0.252
Sm14 0.753 0.747 0.747
In1 0.000 0.500 0.500